Diffraction record for TbMoF6. The PXRD pattern is computed, not measured: it uses a crystal structure in Alexandria, relaxed with PBE+U and Cu Kα.
Kinematic intensities with the Lorentz-polarization factor, no thermal factor.

Largest 10 diffraction maxima, in order of rising 2θ, 2θ from 10° to 80°:
Position (°2θ)	Rel. int.
19.43	13
20.28	100
21.67	42
25.27	67
29.63	17
32.53	23
39.29	40
40.95	40
54.45	15
55.56	15

Crystal structure
Unit cell a=5.3266 b=9.1347 c=5.9112 alpha=90.00 beta=110.44 gamma=90.00
Sites, in units of the cell vectors:
Tb1 0.0000 0.0000 0.0000
Tb2 0.5000 0.5000 0.0000
Mo1 0.0000 0.8059 0.5000
Mo2 0.5000 0.3059 0.5000
F1 0.2109 0.8209 0.2575
F2 0.2243 0.9643 0.7500
F3 0.2367 0.6515 0.7432
F4 0.2633 0.1515 0.2568
F5 0.2757 0.4643 0.2500
F6 0.2891 0.3209 0.7425
F7 0.7109 0.3209 0.2575
F8 0.7243 0.4643 0.7500
F9 0.7367 0.1515 0.7432
F10 0.7633 0.6515 0.2568
F11 0.7757 0.9643 0.2500
F12 0.7891 0.8209 0.7425